Starting from the PBE geometry in Alexandria, the X-ray diffraction stick pattern of Na2AuI5 was calculated for λ = 1.5418 Å (Cu Kα).

Structural model:
Lattice parameters (Å, degrees): 8.0793 8.0793 13.6464 90.00 90.00 132.80
Atoms (fractional coordinates):
Na 0.1806 0.8194 0.5791
Na 0.1806 0.8194 0.9209
Na 0.8194 0.1806 0.0791
Na 0.8194 0.1806 0.4209
Au 0.1854 0.8146 0.2500
Au 0.8146 0.1854 0.7500
I 0.0523 0.9477 0.1084
I 0.0523 0.9477 0.3916
I 0.3166 0.6834 0.7500
I 0.3185 0.6815 0.1054
I 0.3185 0.6815 0.3946
I 0.6815 0.3185 0.6054
I 0.6815 0.3185 0.8946
I 0.6834 0.3166 0.2500
I 0.9477 0.0523 0.6084
I 0.9477 0.0523 0.8916

Top 8 peaks for 2θ from 15° to 90°, sorted by position:
- 16.30°, rel. 79.0
- 22.95°, rel. 31.7
- 27.58°, rel. 79.3
- 31.15°, rel. 100.0
- 34.85°, rel. 33.5
- 42.08°, rel. 87.2
- 49.22°, rel. 25.1
- 66.35°, rel. 26.3



Starting from the PBE geometry in Alexandria, the X-ray diffraction stick pattern of Tb2NdMg5 was calculated for λ = 1.5418 Å (Cu Kα).

Structural model:
Lattice parameters (Å, degrees): 5.2882 5.2882 15.2844 90.00 90.00 90.00
Atoms (fractional coordinates):
Tb 0.0000 0.0000 0.2412
Tb 0.0000 0.0000 0.7588
Tb 0.5000 0.5000 0.2588
Tb 0.5000 0.5000 0.7412
Nd 0.0000 0.0000 0.5000
Nd 0.5000 0.5000 0.0000
Mg 0.0000 0.0000 0.0000
Mg 0.0000 0.5000 0.1215
Mg 0.0000 0.5000 0.3785
Mg 0.0000 0.5000 0.6215
Mg 0.0000 0.5000 0.8785
Mg 0.5000 0.0000 0.1215
Mg 0.5000 0.0000 0.3785
Mg 0.5000 0.0000 0.6215
Mg 0.5000 0.0000 0.8785
Mg 0.5000 0.5000 0.5000

Top 8 peaks for 2θ from 15° to 90°, sorted by position:
- 23.28°, rel. 26.1
- 23.80°, rel. 51.4
- 24.26°, rel. 19.7
- 33.53°, rel. 100.0
- 33.90°, rel. 50.2
- 41.53°, rel. 23.2
- 48.70°, rel. 18.1
- 60.43°, rel. 36.2



Starting from the PBE geometry in Alexandria, the X-ray diffraction stick pattern of Cs4NaAu was calculated for λ = 1.5418 Å (Cu Kα).

Structural model:
Lattice parameters (Å, degrees): 10.7189 10.7189 8.5307 102.50 102.50 111.36
Atoms (fractional coordinates):
Cs 0.0585 0.7360 0.9409
Cs 0.2007 0.3501 0.6431
Cs 0.2640 0.9415 0.5591
Cs 0.3501 0.2007 0.1431
Cs 0.6499 0.7993 0.8569
Cs 0.7360 0.0585 0.4409
Cs 0.7993 0.6499 0.3569
Cs 0.9415 0.2640 0.0591
Na 0.3715 0.6285 0.2500
Na 0.6285 0.3715 0.7500
Au 0.0008 0.9992 0.2500
Au 0.9992 0.0008 0.7500

Top 8 peaks for 2θ from 15° to 90°, sorted by position:
- 22.73°, rel. 72.8
- 24.74°, rel. 48.2
- 24.94°, rel. 98.5
- 25.76°, rel. 100.0
- 26.38°, rel. 92.9
- 27.22°, rel. 52.6
- 30.01°, rel. 88.4
- 34.38°, rel. 53.1



Starting from the PBE geometry in Alexandria, the X-ray diffraction stick pattern of TlIn12Hg4 was calculated for λ = 1.5418 Å (Cu Kα).

Structural model:
Lattice parameters (Å, degrees): 8.7005 8.7225 8.7497 109.44 109.46 109.26
Atoms (fractional coordinates):
Tl 0.0000 0.0000 0.0000
In 0.1497 0.5018 0.3502
In 0.1515 0.8004 0.6501
In 0.2000 0.3495 0.8478
In 0.3496 0.8487 0.1989
In 0.3519 0.1509 0.5018
In 0.4984 0.6487 0.8482
In 0.5016 0.3513 0.1518
In 0.6481 0.8491 0.4982
In 0.6504 0.1513 0.8011
In 0.8000 0.6505 0.1522
In 0.8485 0.1996 0.3499
In 0.8503 0.4982 0.6498
Hg 0.0000 0.0000 0.5000
Hg 0.0000 0.5000 0.0000
Hg 0.5000 0.0000 0.0000
Hg 0.5000 0.5000 0.5000

Top 8 peaks for 2θ from 15° to 90°, sorted by position:
- 24.93°, rel. 37.1
- 25.02°, rel. 37.6
- 27.96°, rel. 100.0
- 28.02°, rel. 48.5
- 33.16°, rel. 28.2
- 40.00°, rel. 39.7
- 43.88°, rel. 41.7
- 44.12°, rel. 32.0



Starting from the PBE geometry in Alexandria, the X-ray diffraction stick pattern of CeGa3Ag was calculated for λ = 1.5418 Å (Cu Kα).

Structural model:
Lattice parameters (Å, degrees): 4.3018 4.3018 10.9026 90.00 90.00 90.00
Atoms (fractional coordinates):
Ce 0.0000 0.0000 0.0000
Ce 0.5000 0.5000 0.5000
Ga 0.0000 0.0000 0.3875
Ga 0.0000 0.0000 0.6125
Ga 0.0000 0.5000 0.2500
Ga 0.5000 0.0000 0.7500
Ga 0.5000 0.5000 0.1125
Ga 0.5000 0.5000 0.8875
Ag 0.0000 0.5000 0.7500
Ag 0.5000 0.0000 0.2500

Top 8 peaks for 2θ from 15° to 90°, sorted by position:
- 32.25°, rel. 44.8
- 33.74°, rel. 100.0
- 42.01°, rel. 49.7
- 46.70°, rel. 25.3
- 53.93°, rel. 20.5
- 60.91°, rel. 16.0
- 64.61°, rel. 18.8
- 71.48°, rel. 21.5



Starting from the PBE geometry in Alexandria, the X-ray diffraction stick pattern of Mg14ZrMn was calculated for λ = 1.5418 Å (Cu Kα).

Structural model:
Lattice parameters (Å, degrees): 6.3711 6.3711 10.0628 90.00 90.00 120.00
Atoms (fractional coordinates):
Mg 0.0000 0.0000 0.2419
Mg 0.0000 0.0000 0.7581
Mg 0.0102 0.5051 0.2544
Mg 0.0102 0.5051 0.7456
Mg 0.3308 0.1654 0.5000
Mg 0.3422 0.1711 0.0000
Mg 0.4949 0.5051 0.2544
Mg 0.4949 0.5051 0.7456
Mg 0.4949 0.9898 0.2544
Mg 0.4949 0.9898 0.7456
Mg 0.8289 0.1711 0.0000
Mg 0.8289 0.6577 0.0000
Mg 0.8346 0.1654 0.5000
Mg 0.8346 0.6692 0.5000
Zr 0.3333 0.6667 0.0000
Mn 0.3333 0.6667 0.5000

Top 8 peaks for 2θ from 15° to 90°, sorted by position:
- 16.06°, rel. 22.7
- 32.45°, rel. 26.8
- 35.69°, rel. 24.6
- 37.17°, rel. 100.0
- 49.00°, rel. 16.0
- 57.90°, rel. 17.0
- 65.09°, rel. 17.6
- 69.90°, rel. 18.5



Starting from the PBE geometry in Alexandria, the X-ray diffraction stick pattern of OsPtRh was calculated for λ = 1.5418 Å (Cu Kα).

Structural model:
Lattice parameters (Å, degrees): 2.7443 3.8902 8.2136 90.00 90.00 90.00
Atoms (fractional coordinates):
Os 0.0000 0.0000 0.0000
Os 0.5000 0.5000 0.5000
Pt 0.0000 0.0000 0.6676
Pt 0.5000 0.5000 0.1676
Rh 0.0000 0.0000 0.3418
Rh 0.5000 0.5000 0.8418

Top 8 peaks for 2θ from 15° to 90°, sorted by position:
- 40.25°, rel. 100.0
- 46.70°, rel. 16.4
- 46.87°, rel. 32.4
- 68.33°, rel. 26.4
- 82.25°, rel. 12.9
- 82.44°, rel. 12.8
- 82.57°, rel. 12.6
- 86.88°, rel. 5.7



Starting from the PBE geometry in Alexandria, the X-ray diffraction stick pattern of ZnAgBrF2 was calculated for λ = 1.5418 Å (Cu Kα).

Structural model:
Lattice parameters (Å, degrees): 6.6403 4.0026 7.5193 90.00 92.60 90.00
Atoms (fractional coordinates):
Zn 0.0461 0.2500 0.3311
Zn 0.9539 0.7500 0.6689
Ag 0.3622 0.2500 0.9121
Ag 0.6378 0.7500 0.0879
Br 0.4025 0.2500 0.2782
Br 0.5975 0.7500 0.7218
F 0.0153 0.2500 0.6066
F 0.1511 0.7500 0.8629
F 0.8489 0.2500 0.1371
F 0.9847 0.7500 0.3934

Top 8 peaks for 2θ from 15° to 90°, sorted by position:
- 17.43°, rel. 50.6
- 18.24°, rel. 58.0
- 26.00°, rel. 100.0
- 32.70°, rel. 64.8
- 35.14°, rel. 63.1
- 36.77°, rel. 72.7
- 42.59°, rel. 50.3
- 45.33°, rel. 82.9